# LaCePr6
Computed XRD peak list, CuKα. Input: a DFT-relaxed cell (PBE, Alexandria).

Largest 10 diffraction maxima, in order of rising 2θ, 2θ from 10° to 90°:
Position (°2θ)  I_rel
29.6  100
34.3  51
49.3  30
49.5  6
58.5  29
58.7  14
61.4  6
61.6  6
79.9  9
82.4  8

Structure:
```
LaCePr6
1.0
0.000 5.233 7.369
3.702 0.000 7.369
3.702 5.233 0.000
La Ce Pr
1 1 6
direct
0.000 0.000 0.000
0.500 0.500 0.500
0.123 0.123 0.377
0.253 0.253 0.747
0.377 0.377 0.123
0.623 0.623 0.877
0.747 0.747 0.253
0.877 0.877 0.623
```